Record 1
InP2PbO8: theoretical powder diffractogram (Cu Kα X-rays), based on a PBE-relaxed structure.
Peak positions follow from Bragg's law for the DFT cell and can differ from measured ones.

Cell and atoms:
abc: 6.7690 11.2052 9.7839
angles: 90.00 111.78 90.00
Space group P2_1/c (No. 14)
One atom of each set of equivalent atoms:
In1 0.1261 0.0749 0.2961 (multiplicity 4)
P1 0.1133 0.1428 0.9538 (multiplicity 4)
P2 0.3457 0.5300 0.1594 (multiplicity 4)
Pb1 0.3957 0.6580 0.5349 (multiplicity 4)
O1 0.0304 0.1620 0.0814 (multiplicity 4)
O2 0.0765 0.5938 0.6787 (multiplicity 4)
O3 0.1966 0.2394 0.4163 (multiplicity 4)
O4 0.2109 0.5275 0.9931 (multiplicity 4)
O5 0.2126 0.5936 0.2382 (multiplicity 4)
O6 0.3089 0.0565 0.0029 (multiplicity 4)
O7 0.4187 0.0958 0.7196 (multiplicity 4)
O8 0.4564 0.1100 0.3179 (multiplicity 4)

Main lines, sorted by position (2θ from 10° to 80°):
| Position (°2θ) | I/Imax |
| --- | --- |
| 12.5 | 45 |
| 21.0 | 32 |
| 21.1 | 100 |
| 25.2 | 31 |
| 25.8 | 86 |
| 29.5 | 49 |
| 30.6 | 40 |
| 30.9 | 33 |
| 36.4 | 29 |
| 42.7 | 33 |

Record 2
RbInP2O8: theoretical powder diffractogram (Cu Kα X-rays), based on a PBE-relaxed structure.
Peak positions follow from Bragg's law for the DFT cell and can differ from measured ones.

Cell and atoms:
abc: 9.8701 8.6551 9.7620
angles: 90.00 116.53 90.00
Space group P2_1/c (No. 14)
One atom of each set of equivalent atoms:
Rb1 0.1746 0.1339 0.0878 (multiplicity 4)
In1 0.2557 0.6250 0.9920 (multiplicity 4)
P1 0.0930 0.5692 0.2335 (multiplicity 4)
P2 0.4882 0.6749 0.8267 (multiplicity 4)
O1 0.0754 0.0207 0.3197 (multiplicity 4)
O2 0.1168 0.6567 0.1093 (multiplicity 4)
O3 0.1405 0.6644 0.3811 (multiplicity 4)
O4 0.1633 0.0959 0.7676 (multiplicity 4)
O5 0.3621 0.5854 0.8440 (multiplicity 4)
O6 0.3649 0.0806 0.6202 (multiplicity 4)
O7 0.4386 0.7324 0.6595 (multiplicity 4)
O8 0.4788 0.1629 0.0957 (multiplicity 4)

Main lines, sorted by position (2θ from 10° to 80°):
| Position (°2θ) | I/Imax |
| --- | --- |
| 14.4 | 41 |
| 21.3 | 20 |
| 22.8 | 27 |
| 23.2 | 20 |
| 26.9 | 100 |
| 29.9 | 32 |
| 30.1 | 34 |
| 34.7 | 18 |
| 41.8 | 16 |
| 42.3 | 16 |

Record 3
RbInP2O7: theoretical powder diffractogram (Cu Kα X-rays), based on a PBE-relaxed structure.
Peak positions follow from Bragg's law for the DFT cell and can differ from measured ones.

Cell and atoms:
abc: 7.6498 10.5718 8.6472
angles: 90.00 105.44 90.00
Space group P2_1/c (No. 14)
One atom of each set of equivalent atoms:
Rb1 0.1860 0.1847 0.0519 (multiplicity 4)
In1 0.2366 0.5999 0.2565 (multiplicity 4)
P1 0.1321 0.5967 0.8254 (multiplicity 4)
P2 0.4376 0.6360 0.6873 (multiplicity 4)
O1 0.0081 0.0035 0.2220 (multiplicity 4)
O2 0.0765 0.7292 0.7547 (multiplicity 4)
O3 0.1417 0.5877 0.0013 (multiplicity 4)
O4 0.3249 0.6048 0.5184 (multiplicity 4)
O5 0.3351 0.5664 0.8077 (multiplicity 4)
O6 0.3699 0.0810 0.7688 (multiplicity 4)
O7 0.4536 0.7226 0.2307 (multiplicity 4)

Main lines, sorted by position (2θ from 10° to 80°):
| Position (°2θ) | I/Imax |
| --- | --- |
| 16.1 | 40 |
| 21.3 | 44 |
| 24.1 | 32 |
| 27.4 | 36 |
| 28.1 | 79 |
| 28.5 | 76 |
| 29.0 | 30 |
| 29.1 | 100 |
| 32.4 | 29 |
| 50.8 | 29 |